Entry 1:
Structure and simulated XRD peak list of Li4TbAg5 (DFT lattice parameters and positions (GGA-PBE); Cu Kα X-rays).

Principal peaks in the range 10 to 90 degrees two-theta, low angle first:
| Position (°2θ) | I/Imax |
| --- | --- |
| 27.30 | 50 |
| 27.84 | 25 |
| 29.40 | 24 |
| 31.84 | 24 |
| 32.49 | 24 |
| 35.01 | 28 |
| 38.75 | 100 |
| 38.99 | 71 |
| 51.63 | 25 |
| 70.47 | 32 |

Structure:
a = 3.2667 Å, b = 3.2667 Å, c = 16.5333 Å
α = 90.00°, β = 90.00°, γ = 90.00°
Atoms (fractional coordinates):
1 Li 0.0000 0.0000 0.0924
2 Li 0.0000 0.0000 0.2769
3 Li 0.0000 0.0000 0.7231
4 Li 0.0000 0.0000 0.9076
5 Tb 0.0000 0.0000 0.5000
6 Ag 0.5000 0.5000 0.0000
7 Ag 0.5000 0.5000 0.1853
8 Ag 0.5000 0.5000 0.3693
9 Ag 0.5000 0.5000 0.6307
10 Ag 0.5000 0.5000 0.8147

---

Entry 2:
Structure and simulated XRD peak list of LiTbAg3 (DFT lattice parameters and positions (GGA-PBE); Cu Kα X-rays).

Principal peaks in the range 10 to 90 degrees two-theta, low angle first:
| Position (°2θ) | I/Imax |
| --- | --- |
| 27.75 | 55 |
| 28.66 | 40 |
| 34.62 | 61 |
| 34.94 | 56 |
| 35.41 | 100 |
| 36.18 | 39 |
| 38.99 | 93 |
| 39.87 | 61 |
| 42.72 | 35 |
| 51.90 | 35 |

Structure:
a = 9.9704 Å, b = 5.4712 Å, c = 7.4781 Å
α = 90.00°, β = 95.07°, γ = 90.00°
Atoms (fractional coordinates):
1 Li 0.0448 0.1144 0.3329
2 Li 0.0448 0.3856 0.8329
3 Li 0.9552 0.6144 0.1671
4 Li 0.9552 0.8856 0.6671
5 Tb 0.3621 0.6459 0.7935
6 Tb 0.3621 0.8541 0.2935
7 Tb 0.6379 0.1459 0.7065
8 Tb 0.6379 0.3541 0.2065
9 Ag 0.1310 0.6017 0.4856
10 Ag 0.1310 0.8983 0.9856
11 Ag 0.2098 0.0909 0.6362
12 Ag 0.2098 0.4091 0.1362
13 Ag 0.3943 0.1552 0.9508
14 Ag 0.3943 0.3448 0.4508
15 Ag 0.6057 0.6552 0.5492
16 Ag 0.6057 0.8448 0.0492
17 Ag 0.7902 0.5909 0.8638
18 Ag 0.7902 0.9091 0.3638
19 Ag 0.8690 0.1017 0.0144
20 Ag 0.8690 0.3983 0.5144

---

Entry 3:
Structure and simulated XRD peak list of LiTb3Ag2Te6 (DFT lattice parameters and positions (GGA-PBE); Cu Kα X-rays).

Principal peaks in the range 10 to 90 degrees two-theta, low angle first:
| Position (°2θ) | I/Imax |
| --- | --- |
| 12.45 | 18 |
| 27.92 | 50 |
| 29.20 | 100 |
| 30.67 | 12 |
| 31.00 | 13 |
| 40.75 | 24 |
| 40.94 | 41 |
| 41.12 | 24 |
| 42.42 | 10 |
| 50.44 | 19 |

Structure:
a = 10.0746 Å, b = 10.0746 Å, c = 8.5240 Å
α = 102.55°, β = 102.55°, γ = 25.17°
Atoms (fractional coordinates):
1 Li 0.0000 0.0000 0.0000
2 Tb 0.0000 0.0000 0.5000
3 Tb 0.3275 0.3275 0.1918
4 Tb 0.6725 0.6725 0.8082
5 Ag 0.2972 0.2972 0.7243
6 Ag 0.7028 0.7028 0.2757
7 Te 0.1606 0.1606 0.5432
8 Te 0.1625 0.1625 0.0661
9 Te 0.4888 0.4888 0.2400
10 Te 0.5112 0.5112 0.7600
11 Te 0.8375 0.8375 0.9339
12 Te 0.8394 0.8394 0.4568

---

Entry 4:
Structure and simulated XRD peak list of LiTcAg (DFT lattice parameters and positions (GGA-PBE); Cu Kα X-rays).

Principal peaks in the range 10 to 90 degrees two-theta, low angle first:
| Position (°2θ) | I/Imax |
| --- | --- |
| 13.18 | 71 |
| 26.54 | 22 |
| 34.91 | 34 |
| 39.88 | 100 |
| 40.27 | 24 |
| 49.21 | 27 |
| 65.40 | 22 |
| 72.94 | 15 |
| 85.76 | 21 |
| 86.01 | 10 |

Structure:
a = 6.9685 Å, b = 6.9685 Å, c = 6.9685 Å
α = 158.34°, β = 158.34°, γ = 30.82°
Atoms (fractional coordinates):
1 Li 0.0000 0.0000 0.0000
2 Tc 0.6621 0.6621 0.0000
3 Ag 0.3353 0.3353 0.0000